# KCeCl4O4
Computed PXRD pattern, Cu Kα. Input: a PBE-relaxed structure.

Principal peaks in the range 2θ from 10° to 90°, low angle first:
2θ = 14.21°, intensity 53, (0 0 1)
2θ = 15.17°, intensity 100, (1 1 0)
2θ = 17.76°, intensity 40, (0 2 0)
2θ = 20.85°, intensity 83, (1 1 1)
2θ = 22.82°, intensity 29, (0 2 1)
2θ = 30.62°, intensity 40, (2 2 0)
2θ = 32.58°, intensity 42, (1 1 2)
2θ = 32.95°, intensity 94, (1 3 1)
2θ = 33.91°, intensity 47, (0 2 2)
2θ = 41.32°, intensity 42, (3 1 1)
2θ = 41.64°, intensity 24, (1 3 2)
2θ = 46.62°, intensity 29, (2 4 1)

Cell lengths 7.1996, 9.9864, 6.2308 Å; angles 90.00, 90.00, 90.00 degrees
Space group P2_12_12 (No. 18)
Unique sites:
1 K 0.0000 0.0000 0.1062 x2
2 Ce 0.0000 0.5000 0.4914 x2
3 Cl 0.1250 0.3374 0.1324 x4
4 Cl 0.1661 0.1342 0.5950 x4
5 O 0.0317 0.6066 0.8240 x4
6 O 0.2160 0.3659 0.6194 x4